Record 1
CaYSiO5: simulated powder XRD pattern (CuKα), based on DFT lattice parameters and positions (GGA-PBE).

Most intense lines, 15° ≤ 2θ ≤ 90°, in order of rising 2θ:
index	two_theta	I/Imax
1 1 0	17.0	389
1 1 -2	25.1	1000
2 0 0	28.4	504
0 2 2	30.6	570
1 3 0	32.2	451
1 3 1	36.1	198
3 1 -2	42.9	211
2 2 2	47.6	212
2 4 -2	50.0	199
3 3 0	52.7	186

Structure:
```
data_CaYSiO5
_chemical_formula_sum 'Ca4 Y4 Si4 O20'
_space_group_name_H-M_alt 'P 1 21/c 1'
_space_group_IT_number 14
_space_group_name_Hall '-P 2ybc'
_cell_length_a 6.6697
_cell_length_b 9.2879
_cell_length_c 7.9912
_cell_angle_alpha 90.00
_cell_angle_beta 109.51
_cell_angle_gamma 90.00
loop_
_atom_site_label
_atom_site_type_symbol
_atom_site_fract_x
_atom_site_fract_y
_atom_site_fract_z
Ca1 Ca 0.2494 0.1015 0.2424
Y1 Y 0.2497 0.7493 0.0055
Si1 Si 0.2510 0.0674 0.7565
O1 O 0.0907 0.1763 0.6043
O2 O 0.1230 0.5380 0.3537
O3 O 0.2475 0.6397 0.7567
O4 O 0.3824 0.5394 0.1633
O5 O 0.4069 0.1817 0.9002
```

Record 2
CaYSiO5: simulated powder XRD pattern (CuKα), based on DFT lattice parameters and positions (GGA-PBE).

Most intense lines, 15° ≤ 2θ ≤ 90°, in order of rising 2θ:
index	two_theta	I/Imax
1 1 0	17.1	389
1 1 -2	25.1	1000
2 0 0	28.4	501
0 2 2	30.6	569
1 3 0	32.3	448
1 3 1	36.2	196
3 1 -2	43.0	210
2 2 2	47.6	214
2 4 -2	50.2	196
3 3 0	52.8	186

Structure:
```
data_CaYSiO5
_chemical_formula_sum 'Ca4 Y4 Si4 O20'
_space_group_name_H-M_alt 'C 1 2/c 1'
_space_group_IT_number 15
_space_group_name_Hall '-C 2yc'
_cell_length_a 6.6588
_cell_length_b 9.2502
_cell_length_c 8.0019
_cell_angle_alpha 90.00
_cell_angle_beta 109.26
_cell_angle_gamma 90.00
loop_
_atom_site_label
_atom_site_type_symbol
_atom_site_fract_x
_atom_site_fract_y
_atom_site_fract_z
Ca1 Ca 0.0000 0.1485 0.2500
Y1 Y 0.0000 0.5000 0.0000
Si1 Si 0.0000 0.1829 0.7500
O1 O 0.0000 0.3913 0.2500
O2 O 0.1303 0.2892 0.6550
O3 O 0.1578 0.0709 0.8974
```